For Li2NiP2O7, a structure optimized by DFT (PBE+U) gives the computed X-ray powder pattern in this record (copper Kα).
Intensities are scaled so that the largest is 100.

Cell and atoms:
Cell: 5.114 7.024 8.701 Å, 101.48 106.72 109.76°
Sites, in units of the cell vectors:
Li  0.061  0.385  0.245
Li  0.414  0.189  0.008
Li  0.586  0.811  0.992
Li  0.939  0.615  0.755
Ni  0.314  0.325  0.667
Ni  0.686  0.675  0.333
P  0.176  0.805  0.143
P  0.342  0.752  0.603
P  0.658  0.248  0.397
P  0.824  0.195  0.857
O  0.037  0.765  0.557
O  0.128  0.252  0.839
O  0.187  0.875  0.988
O  0.297  0.633  0.146
O  0.382  0.643  0.743
O  0.393  0.647  0.453
O  0.405  0.007  0.315
O  0.595  0.993  0.685
O  0.607  0.353  0.547
O  0.618  0.357  0.257
O  0.703  0.367  0.854
O  0.813  0.125  0.012
O  0.872  0.748  0.161
O  0.963  0.235  0.443

Largest 10 diffraction maxima, sorted by position, 10° ≤ 2θ ≤ 90°:
- (0 0 1), 2θ 11.2, 7.870 Å, intensity 38
- (0 1 1), 2θ 20.9, 4.257 Å, intensity 59
- (1 0 -2), 2θ 23.7, 3.750 Å, intensity 100
- (1 0 1), 2θ 26.6, 3.355 Å, intensity 31
- (0 2 -1), 2θ 27.1, 3.292 Å, intensity 26
- (0 2 0), 2θ 28.6, 3.121 Å, intensity 51
- (1 -2 1), 2θ 28.8, 3.101 Å, intensity 26
- (-1 2 1), 2θ 30.1, 2.967 Å, intensity 22
- (1 -2 2), 2θ 34.5, 2.602 Å, intensity 19
- (-2 1 1), 2θ 35.1, 2.556 Å, intensity 31